The following is a calculated X-ray powder pattern of AcTe2AuO8. It was derived from a cell relaxed with GGA-PBE, using Cu Kα X-rays.
Neutral-atom scattering factors, no anomalous dispersion.

```
AcTe2AuO8
1.0
-3.8562 3.8562 3.5672
3.8562 -3.8562 3.5672
3.8562 3.8562 -3.5672
Ac Te Au O
1 2 1 8
Cartesian
0.0000 0.0000 0.0000
3.8562 0.0000 1.7836
0.0000 0.0000 3.5672
0.0000 3.8562 1.7836
2.3989 0.0000 0.6682
5.3136 0.0000 0.6682
3.8562 2.4322 -1.2252
3.8562 -1.4574 2.8990
0.0000 1.4241 2.3421
3.8562 1.4574 2.8990
2.4322 3.8562 1.2252
1.4241 0.0000 4.7924
```

Peak list (10 most intense, 2θ from 10° to 80°, sorted by position)
2θ 23.06, d = 3.856 Å, I 100; 2θ 29.93, d = 2.985 Å, I 91; 2θ 32.85, d = 2.727 Å, I 28; 2θ 45.03, d = 2.013 Å, I 68; 2θ 47.13, d = 1.928 Å, I 17; 2θ 53.11, d = 1.725 Å, I 18; 2θ 56.86, d = 1.619 Å, I 35; 2θ 62.19, d = 1.493 Å, I 14; 2θ 67.23, d = 1.393 Å, I 18; 2θ 76.88, d = 1.240 Å, I 28

The following is a calculated X-ray powder pattern of ReBPC. It was derived from a cell relaxed with GGA-PBE, using Cu Kα X-rays.
Neutral-atom scattering factors, no anomalous dispersion.

```
ReBPC
1.0
2.4283 -1.4015 0.0000
2.4283 1.4015 0.0000
-1.5616 0.0000 7.9422
Re B P C
1 1 1 1
Cartesian
0.0000 0.0000 0.0000
0.0534 0.0000 5.8800
1.6174 0.0000 1.8334
3.2905 0.0000 5.8487
```

Peak list (10 most intense, 2θ from 10° to 80°, sorted by position)
2θ 11.14, d = 7.942 Å, I 100; 2θ 22.39, d = 3.971 Å, I 10; 2θ 33.86, d = 2.647 Å, I 7; 2θ 37.23, d = 2.415 Å, I 14; 2θ 37.82, d = 2.379 Å, I 18; 2θ 40.06, d = 2.251 Å, I 8; 2θ 41.62, d = 2.170 Å, I 5; 2θ 41.82, d = 2.160 Å, I 10; 2θ 45.83, d = 1.980 Å, I 7; 2θ 48.46, d = 1.878 Å, I 5

The following is a calculated X-ray powder pattern of CePrTmPa. It was derived from a cell relaxed with GGA-PBE, using Cu Kα X-rays.
Neutral-atom scattering factors, no anomalous dispersion.

```
CePrTmPa
1.0
0.0000 3.9254 3.9254
3.9254 0.0000 3.9254
3.9254 3.9254 0.0000
Ce Pr Tm Pa
1 1 1 1
Cartesian
0.0000 0.0000 0.0000
3.9254 3.9254 3.9254
1.9627 1.9627 1.9627
5.8881 5.8881 5.8881
```

Peak list (10 most intense, 2θ from 10° to 80°, sorted by position)
2θ 19.59, d = 4.533 Å, I 2; 2θ 22.65, d = 3.925 Å, I 3; 2θ 32.25, d = 2.776 Å, I 100; 2θ 38.01, d = 2.367 Å, I 1; 2θ 39.77, d = 2.266 Å, I 1; 2θ 46.26, d = 1.963 Å, I 19; 2θ 52.10, d = 1.755 Å, I 2; 2θ 57.51, d = 1.603 Å, I 39; 2θ 67.49, d = 1.388 Å, I 12; 2θ 76.79, d = 1.241 Å, I 17

The following is a calculated X-ray powder pattern of Rb4PaNb3O12. It was derived from a cell relaxed with GGA-PBE, using Cu Kα X-rays.
Neutral-atom scattering factors, no anomalous dispersion.

```
Rb4PaNb3O12
1.0
-4.1790 4.1790 4.1790
4.1790 -4.1790 4.1790
4.1790 4.1790 -4.1790
Rb Pa Nb O
4 1 3 12
Cartesian
2.0895 2.0895 -2.0895
2.0895 -2.0895 2.0895
-2.0895 2.0895 2.0895
2.0895 2.0895 2.0895
0.0000 0.0000 0.0000
4.1790 0.0000 0.0000
0.0000 4.1790 0.0000
0.0000 0.0000 4.1790
2.1777 0.0000 0.0000
6.1803 0.0000 0.0000
4.1790 2.0895 0.0000
4.1790 0.0000 2.0895
0.0000 2.1777 0.0000
0.0000 0.0000 2.1777
2.0895 4.1790 0.0000
2.0895 0.0000 4.1790
0.0000 6.1803 0.0000
0.0000 0.0000 6.1803
0.0000 4.1790 2.0895
0.0000 2.0895 4.1790
```

Peak list (10 most intense, 2θ from 10° to 80°, sorted by position)
2θ 14.99, d = 5.910 Å, I 12; 2θ 21.26, d = 4.179 Å, I 11; 2θ 26.12, d = 3.412 Å, I 7; 2θ 30.25, d = 2.955 Å, I 100; 2θ 40.38, d = 2.234 Å, I 5; 2θ 43.30, d = 2.089 Å, I 32; 2θ 53.73, d = 1.706 Å, I 40; 2θ 62.90, d = 1.477 Å, I 20; 2θ 71.37, d = 1.322 Å, I 18; 2θ 79.44, d = 1.206 Å, I 7